No. 1
# MgFe7Ni6O16
Theoretical X-ray diffraction stick pattern, copper Kα. Input: a cell relaxed with GGA+U.

Cell and atoms:
a = 6.024 Å, b = 6.024 Å, c = 10.419 Å
α = 105.27°, β = 105.27°, γ = 60.65°
Sites, in units of the cell vectors:
Mg1 0.000 0.000 0.000
Fe1 0.249 0.750 0.750
Fe2 0.250 0.751 0.250
Fe3 0.251 0.251 0.239
Fe4 0.500 0.500 0.000
Fe5 0.749 0.749 0.761
Fe6 0.750 0.249 0.750
Fe7 0.751 0.250 0.250
Ni1 0.000 0.000 0.500
Ni2 0.000 0.500 0.500
Ni3 0.251 0.251 0.763
Ni4 0.500 0.000 0.500
Ni5 0.500 0.500 0.500
Ni6 0.749 0.749 0.237
O1 0.102 0.102 0.852
O2 0.128 0.634 0.379
O3 0.129 0.629 0.865
O4 0.130 0.130 0.378
O5 0.366 0.872 0.621
O6 0.371 0.871 0.135
O7 0.372 0.372 0.621
O8 0.398 0.398 0.150
O9 0.602 0.602 0.850
O10 0.628 0.628 0.379
O11 0.629 0.129 0.865
O12 0.634 0.128 0.379
O13 0.870 0.870 0.622
O14 0.871 0.371 0.135
O15 0.872 0.366 0.621
O16 0.898 0.898 0.148

Most intense lines, 5° ≤ 2θ ≤ 70°, low angle first:
2θ/deg, d_spacing, I/Imax
8.91, 9.922, 53
17.89, 4.958, 15
26.96, 3.307, 10
36.25, 2.478, 44
36.46, 2.464, 42
41.82, 2.160, 100
43.03, 2.102, 46
60.35, 1.534, 14
60.92, 1.521, 15
61.56, 1.506, 53

No. 2
# Na5Ca7Zr2TiMnSi8O32F4
Theoretical X-ray diffraction stick pattern, copper Kα. Input: a cell relaxed with GGA+U.

Cell and atoms:
a = 7.275 Å, b = 10.163 Å, c = 11.561 Å
α = 111.92°, β = 90.09°, γ = 100.45°
Sites, in units of the cell vectors:
Na1 0.000 0.000 0.000
Na2 0.091 0.357 0.790
Na3 0.254 0.004 0.246
Na4 0.746 0.996 0.754
Na5 0.909 0.643 0.210
Ca1 0.000 0.000 0.500
Ca2 0.088 0.366 0.290
Ca3 0.270 0.006 0.758
Ca4 0.411 0.639 0.716
Ca5 0.589 0.361 0.284
Ca6 0.730 0.994 0.242
Ca7 0.912 0.634 0.710
Zr1 0.414 0.652 0.224
Zr2 0.586 0.348 0.776
Ti1 0.500 0.000 0.000
Mn1 0.500 0.000 0.500
Si1 0.153 0.718 0.487
Si2 0.154 0.708 0.988
Si3 0.293 0.292 0.009
Si4 0.295 0.278 0.511
Si5 0.705 0.722 0.489
Si6 0.707 0.708 0.991
Si7 0.846 0.292 0.012
Si8 0.847 0.282 0.513
O1 0.062 0.249 0.525
O2 0.063 0.265 0.991
O3 0.161 0.608 0.842
O4 0.165 0.645 0.588
O5 0.196 0.621 0.345
O6 0.210 0.650 0.095
O7 0.276 0.886 0.537
O8 0.277 0.873 0.023
O9 0.328 0.109 0.464
O10 0.330 0.130 0.981
O11 0.337 0.343 0.404
O12 0.358 0.409 0.152
O13 0.377 0.340 0.897
O14 0.390 0.379 0.651
O15 0.463 0.892 0.824
O16 0.474 0.871 0.325
O17 0.526 0.129 0.675
O18 0.537 0.108 0.176
O19 0.610 0.621 0.349
O20 0.623 0.660 0.103
O21 0.642 0.591 0.848
O22 0.663 0.657 0.596
O23 0.670 0.870 0.019
O24 0.672 0.891 0.536
O25 0.723 0.127 0.977
O26 0.724 0.114 0.463
O27 0.790 0.350 0.905
O28 0.804 0.379 0.655
O29 0.835 0.355 0.412
O30 0.839 0.392 0.158
O31 0.937 0.735 0.009
O32 0.938 0.751 0.475
F1 0.011 0.121 0.208
F2 0.039 0.105 0.707
F3 0.961 0.895 0.293
F4 0.989 0.879 0.792

Most intense lines, 5° ≤ 2θ ≤ 70°, low angle first:
2θ/deg, d_spacing, I/Imax
14.94, 5.930, 12
22.14, 4.015, 13
28.98, 3.081, 58
30.15, 2.964, 100
33.52, 2.674, 27
35.99, 2.496, 17
47.94, 1.898, 15
48.05, 1.894, 16
50.16, 1.819, 21
54.11, 1.695, 16

No. 3
# Cs2VO2F4
Theoretical X-ray diffraction stick pattern, copper Kα. Input: a cell relaxed with GGA+U.

Cell and atoms:
a = 8.158 Å, b = 8.158 Å, c = 7.509 Å
α = 90.00°, β = 90.00°, γ = 134.45°
Sites, in units of the cell vectors:
Cs1 0.049 0.951 0.750
Cs2 0.266 0.734 0.250
Cs3 0.734 0.266 0.750
Cs4 0.951 0.049 0.250
V1 0.377 0.623 0.750
V2 0.623 0.377 0.250
O1 0.265 0.735 0.750
O2 0.491 0.509 0.250
O3 0.509 0.491 0.750
O4 0.735 0.265 0.250
F1 0.174 0.401 0.572
F2 0.174 0.401 0.928
F3 0.401 0.174 0.072
F4 0.401 0.174 0.428
F5 0.599 0.826 0.572
F6 0.599 0.826 0.928
F7 0.826 0.599 0.072
F8 0.826 0.599 0.428

Most intense lines, 5° ≤ 2θ ≤ 70°, low angle first:
2θ/deg, d_spacing, I/Imax
22.64, 3.928, 24
23.70, 3.755, 43
25.60, 3.480, 100
28.26, 3.158, 27
33.00, 2.714, 20
37.19, 2.417, 55
37.84, 2.378, 25
42.84, 2.111, 21
48.45, 1.879, 22
57.04, 1.615, 18